MgMn2Zn2O12: computed X-ray powder pattern (Cu Kα (weighted mean of Kα1 and Kα2)), based on the GGA+U geometry in Alexandria.

Top 8 peaks for 2θ from 15° to 90°, by intensity:
2θ (°)	I (rel.)	index
15.45	100	1 1 0
28.17	99	3 1 -1
36.98	82	5 1 1
32.20	70	5 1 0
17.20	62	0 0 1
22.39	61	3 1 0
35.94	57	2 2 1
33.87	47	0 2 1

a b c (Å): 15.571 6.168 5.158
angles (deg): 90.00 91.05 90.00
Space group C2 (No. 5)
One atom of each set of equivalent atoms:
Mg (0.000, 0.000, 0.000) (multiplicity 2)
Mn (0.000, 0.283, 0.500) (multiplicity 2)
Mn (0.000, 0.507, 0.000) (multiplicity 2)
Zn (0.102, 0.706, 0.452) (multiplicity 4)
O (0.040, 0.984, 0.584) (multiplicity 4)
O (0.060, 0.276, 0.181) (multiplicity 4)
O (0.070, 0.482, 0.683) (multiplicity 4)
O (0.077, 0.740, 0.101) (multiplicity 4)
O (0.234, 0.798, 0.613) (multiplicity 4)
O (0.243, 0.242, 0.165) (multiplicity 4)